(1)
Starting from a crystal structure in Alexandria, relaxed with GGA-PBE, the powder diffraction line list of Bi2PbCl8 was computed for Cu Kα X-rays.
Peak positions follow from Bragg's law for the DFT cell and can differ from measured ones.

Principal peaks in the range 15° ≤ 2θ ≤ 90°, in order of falling intensity:
| hkl | 2θ/deg | I (rel.) |
| --- | --- | --- |
| 1 0 0 | 18.61 | 100 |
| 0 1 -2 | 18.95 | 50 |
| 0 1 1 | 17.51 | 36 |
| 1 0 3 | 36.00 | 27 |
| 0 0 3 | 25.24 | 26 |
| -2 1 1 | 33.16 | 25 |
| 1 -3 2 | 39.67 | 24 |
| 0 3 1 | 44.29 | 20 |

Cell and atoms:
abc: 5.404 7.253 11.214
angles: 96.92 103.92 111.84
Fractional positions:
Bi1 0.000 0.000 0.000
Bi2 0.148 0.926 0.371
Pb1 0.181 0.464 0.686
Cl1 0.027 0.587 0.454
Cl2 0.134 0.339 0.917
Cl3 0.236 0.236 0.235
Cl4 0.404 0.202 0.610
Cl5 0.455 0.948 0.970
Cl6 0.684 0.978 0.401
Cl7 0.742 0.724 0.761
Cl8 0.914 0.690 0.136


(2)
Starting from a crystal structure in Alexandria, relaxed with GGA-PBE, the powder diffraction line list of BiPb2Cl6 was computed for Cu Kα X-rays.
Peak positions follow from Bragg's law for the DFT cell and can differ from measured ones.

Principal peaks in the range 15° ≤ 2θ ≤ 90°, in order of falling intensity:
| hkl | 2θ/deg | I (rel.) |
| --- | --- | --- |
| 1 1 0 | 17.78 | 100 |
| 2 1 3 | 35.26 | 82 |
| 1 0 3 | 24.21 | 67 |
| 3 0 3 | 43.87 | 31 |
| 2 2 0 | 36.01 | 23 |
| 2 0 0 | 25.25 | 21 |
| 3 1 0 | 40.43 | 19 |
| 1 1 6 | 45.90 | 18 |

Cell and atoms:
abc: 7.055 7.055 12.919
angles: 90.00 90.00 90.00
Fractional positions:
Bi1 0.000 0.000 0.000
Bi2 0.500 0.500 0.500
Pb1 0.000 0.000 0.338
Pb2 0.000 0.000 0.662
Pb3 0.500 0.500 0.162
Pb4 0.500 0.500 0.838
Cl1 0.182 0.182 0.500
Cl2 0.197 0.197 0.154
Cl3 0.197 0.197 0.846
Cl4 0.303 0.697 0.346
Cl5 0.303 0.697 0.654
Cl6 0.318 0.682 0.000
Cl7 0.682 0.318 0.000
Cl8 0.697 0.303 0.346
Cl9 0.697 0.303 0.654
Cl10 0.803 0.803 0.154
Cl11 0.803 0.803 0.846
Cl12 0.818 0.818 0.500


(3)
Starting from a crystal structure in Alexandria, relaxed with GGA-PBE, the powder diffraction line list of BiPdCl6 was computed for Cu Kα X-rays.
Peak positions follow from Bragg's law for the DFT cell and can differ from measured ones.

Principal peaks in the range 15° ≤ 2θ ≤ 90°, in order of falling intensity:
| hkl | 2θ/deg | I (rel.) |
| --- | --- | --- |
| 1 0 -1 | 19.13 | 100 |
| 0 1 0 | 18.21 | 54 |
| 0 1 2 | 26.12 | 44 |
| 1 0 1 | 24.84 | 26 |
| -1 1 2 | 31.75 | 25 |
| 1 2 3 | 42.17 | 23 |
| 1 -1 1 | 39.64 | 16 |
| 2 0 -2 | 38.82 | 16 |

Cell and atoms:
abc: 6.331 6.351 6.876
angles: 62.67 89.68 63.20
Fractional positions:
Bi1 0.000 0.000 0.000
Pd1 0.500 0.000 0.500
Cl1 0.108 0.476 0.257
Cl2 0.274 0.825 0.734
Cl3 0.432 0.844 0.265
Cl4 0.568 0.156 0.735
Cl5 0.726 0.175 0.266
Cl6 0.892 0.524 0.743